# Fe4O7F
Theoretical X-ray powder pattern, Cu Kα. Input: the PBE+U geometry in the Materials Project.
Intensities are scaled so that the largest is 100.

Principal peaks in the range 10 to 90 degrees two-theta, by angle:
| 2θ (°) | intensity |
| --- | --- |
| 27.0 | 92 |
| 27.8 | 90 |
| 35.6 | 100 |
| 39.1 | 19 |
| 53.4 | 56 |
| 54.4 | 53 |
| 55.6 | 15 |
| 57.5 | 15 |
| 61.5 | 15 |
| 68.6 | 37 |

Crystal structure
```
Fe4O7F
1.0
6.0322 0.0000 0.0000
0.0000 6.4162 0.0000
0.0000 0.0000 6.6166
Fe O F
8 14 2
Cartesian
0.0435 1.6041 1.5983
1.5080 1.6041 4.9212
1.5080 4.8122 1.5333
2.9725 1.6041 1.5983
3.0596 4.8122 5.0183
4.5241 1.6041 5.0833
4.5241 4.8122 1.6955
5.9886 4.8122 5.0183
0.0156 0.3598 4.9449
0.0156 2.8483 4.9449
1.5080 1.6041 0.3073
1.5080 1.6041 2.8912
1.5080 4.8122 6.1745
3.0005 0.3598 4.9449
3.0005 2.8483 4.9449
3.0316 3.5680 1.6717
3.0316 6.0564 1.6717
4.5241 1.6041 0.4421
4.5241 4.8122 3.7255
4.5241 4.8122 6.3094
6.0166 3.5680 1.6717
6.0166 6.0564 1.6717
1.5080 4.8122 3.6167
4.5241 1.6041 3.0000
```

---

# Fe10O11F9
Theoretical X-ray powder pattern, Cu Kα. Input: the PBE+U geometry in the Materials Project.
Intensities are scaled so that the largest is 100.

Principal peaks in the range 10 to 90 degrees two-theta, by angle:
| 2θ (°) | intensity |
| --- | --- |
| 25.0 | 100 |
| 27.9 | 86 |
| 34.9 | 93 |
| 37.9 | 17 |
| 38.9 | 15 |
| 50.8 | 66 |
| 51.4 | 18 |
| 54.1 | 47 |
| 60.7 | 15 |
| 66.5 | 40 |

Crystal structure
```
Fe10O11F9
1.0
15.2568 0.0000 0.0000
0.0000 3.1951 3.5563
0.0000 -3.1951 3.5563
Fe O F
10 11 9
Cartesian
0.0000 0.0000 0.0000
1.4412 0.0000 3.2519
3.0293 0.0000 6.8563
4.5329 0.0000 3.3264
6.0940 0.0000 6.8807
7.6284 0.0000 3.3239
9.1628 0.0000 6.8807
10.7239 0.0000 3.3264
12.2275 0.0000 6.8563
13.8156 0.0000 3.2519
0.0000 0.0000 1.9884
1.5481 -1.9408 3.3453
1.5481 1.9408 3.3453
4.5656 -1.9275 3.3119
4.5656 1.9275 3.3119
7.6284 -1.9213 3.3257
7.6284 1.9213 3.3257
10.6912 -1.9275 3.3119
10.6912 1.9275 3.3119
13.7087 -1.9408 3.3453
13.7087 1.9408 3.3453
0.0000 0.0000 4.6860
3.0242 0.0000 4.6606
3.0556 0.0000 1.9470
6.0919 0.0000 4.6867
6.0970 0.0000 1.9578
9.1598 0.0000 1.9578
9.1648 0.0000 4.6867
12.2012 0.0000 1.9470
12.2326 0.0000 4.6606
```

---

# Fe5O2F8
Theoretical X-ray powder pattern, Cu Kα. Input: the PBE+U geometry in the Materials Project.
Intensities are scaled so that the largest is 100.

Principal peaks in the range 10 to 90 degrees two-theta, by angle:
| 2θ (°) | intensity |
| --- | --- |
| 26.5 | 100 |
| 33.1 | 29 |
| 33.6 | 15 |
| 33.7 | 15 |
| 50.9 | 16 |
| 51.9 | 9 |
| 54.4 | 10 |
| 54.6 | 9 |
| 56.6 | 11 |
| 65.0 | 11 |

Crystal structure
```
Fe5O2F8
1.0
4.7652 0.0000 0.0000
-0.0541 5.7107 0.0000
-0.0867 -2.4126 13.5276
Fe O F
10 4 16
Cartesian
0.0000 0.0000 0.0000
0.0487 1.7918 2.7933
0.0120 3.5661 5.4317
2.1413 -1.3694 11.0116
2.2234 0.8393 5.3157
2.3555 2.8554 0.0000
2.4010 2.4588 8.2119
2.4832 4.6674 2.5160
4.6125 -0.2680 8.0959
4.5757 1.5062 10.7343
0.9364 1.9230 4.6300
1.2800 -1.1456 12.8977
3.3444 4.4437 0.6299
3.6880 1.3751 8.8976
0.8855 0.0189 1.8781
0.8678 -0.2040 9.9844
0.8614 1.7013 12.6606
0.9133 3.6827 7.3779
1.4116 2.9319 1.7813
1.3486 2.6370 9.9577
1.4104 0.8730 7.2464
1.4072 4.8384 4.6141
3.2172 -1.5404 8.9135
3.2140 2.4251 6.2812
3.2759 0.6611 3.5699
3.2128 0.3662 11.7463
3.7111 -0.3846 6.1497
3.7630 1.5967 0.8670
3.7566 3.5020 3.5432
3.7389 3.2791 11.6495
```

---

# Fe4OF6
Theoretical X-ray powder pattern, Cu Kα. Input: the PBE+U geometry in the Materials Project.
Intensities are scaled so that the largest is 100.

Principal peaks in the range 10 to 90 degrees two-theta, by angle:
| 2θ (°) | intensity |
| --- | --- |
| 30.2 | 45 |
| 30.3 | 100 |
| 30.5 | 43 |
| 49.8 | 16 |
| 50.2 | 14 |
| 50.7 | 32 |
| 50.8 | 14 |
| 51.2 | 19 |
| 59.5 | 13 |
| 61.3 | 11 |

Crystal structure
```
Fe4OF6
1.0
5.1784 0.0000 0.0000
0.0256 7.1390 0.0000
0.0369 0.2001 7.2045
Fe O F
8 2 12
Cartesian
0.0000 0.0000 0.0000
0.1827 3.8810 7.1883
2.1542 5.6584 5.3697
2.2791 5.5385 1.6751
2.6099 2.0431 2.0139
2.7663 2.1485 5.5204
4.7275 3.9155 3.6755
4.8557 0.4379 3.6799
1.1421 5.5007 0.0469
3.7356 2.0737 3.6567
0.4706 5.7417 3.9573
1.1415 3.6067 5.1887
1.1361 3.6174 2.2901
1.1443 0.4681 2.1182
1.2295 0.7049 5.2378
1.8178 2.2370 0.1690
3.0774 5.3784 3.5191
3.7126 4.1792 5.7255
3.7409 7.0656 5.6372
3.7445 7.1168 1.5555
3.7923 3.9719 1.4387
4.4469 2.0435 6.9343
```

---

# Fe3O2F4
Theoretical X-ray powder pattern, Cu Kα. Input: the PBE+U geometry in the Materials Project.
Intensities are scaled so that the largest is 100.

Principal peaks in the range 10 to 90 degrees two-theta, by angle:
| 2θ (°) | intensity |
| --- | --- |
| 26.1 | 95 |
| 26.7 | 85 |
| 34.0 | 100 |
| 39.3 | 19 |
| 51.3 | 30 |
| 51.4 | 29 |
| 51.9 | 27 |
| 52.1 | 24 |
| 65.5 | 20 |
| 65.9 | 18 |

Crystal structure
```
Fe3O2F4
1.0
4.7578 0.0000 0.0000
0.0000 9.4778 0.0000
-0.0988 0.0000 4.7881
Fe O F
6 4 8
Cartesian
0.0000 0.0000 0.0000
0.0482 3.0634 0.1822
0.0482 6.4144 0.1822
2.1100 1.6536 2.5888
2.1100 7.8242 2.5888
2.1481 4.7389 2.3818
0.6846 1.5778 4.0365
0.6846 7.9000 4.0365
1.3156 3.2557 1.5710
1.3156 6.2221 1.5710
0.7590 4.7389 3.9875
1.2334 0.0000 1.5641
3.1361 0.0000 3.5035
3.2079 3.3197 3.5368
3.2079 6.1581 3.5368
3.6971 1.5636 1.0840
3.6971 7.9142 1.0840
3.7381 4.7389 1.0460
```

---

# Fe3O2F4
Theoretical X-ray powder pattern, Cu Kα. Input: the PBE+U geometry in the Materials Project.
Intensities are scaled so that the largest is 100.

Principal peaks in the range 10 to 90 degrees two-theta, by angle:
| 2θ (°) | intensity |
| --- | --- |
| 25.4 | 93 |
| 27.0 | 88 |
| 34.4 | 100 |
| 38.8 | 18 |
| 39.9 | 17 |
| 50.9 | 61 |
| 52.2 | 21 |
| 52.6 | 50 |
| 59.6 | 17 |
| 65.6 | 38 |

Crystal structure
```
Fe3O2F4
1.0
4.6799 -3.2994 0.0000
4.6799 3.2994 0.0000
-3.1865 0.0000 6.9690
Fe O F
6 4 8
Cartesian
0.0000 0.0000 0.0000
0.5384 0.0044 5.8594
2.0531 -0.2177 2.3380
5.6348 0.0044 1.1096
4.1201 -0.2177 4.6310
3.0866 -3.2587 3.4845
-0.5327 1.0978 4.6583
4.6799 1.3195 0.0000
6.7059 1.0978 2.3107
4.6799 -1.3601 0.0000
2.0624 1.8561 2.3510
-0.0845 -0.0826 2.0642
2.0465 -0.0599 0.1894
4.1108 1.8561 4.6180
2.0090 -0.0957 4.4617
4.1642 -0.0957 2.5073
4.1267 -0.0599 6.7796
6.2578 -0.0826 4.9048
```